# La2Nd3Er
Simulated PXRD pattern, a wavelength of 1.5418 Å. Input: a crystal structure in Alexandria, relaxed with GGA-PBE.
Intensities are scaled so that the largest is 100.

Structural model:
```
data_La2Nd3Er
_chemical_formula_sum 'La4 Nd6 Er2'
_symmetry_space_group_name_H-M 'P 63/m c m'
_symmetry_Int_Tables_number 193
_symmetry_space_group_name_Hall '-P 6c 2'
_cell_length_a 6.3950
_cell_length_b 6.3950
_cell_length_c 11.8729
_cell_angle_alpha 90.00
_cell_angle_beta 90.00
_cell_angle_gamma 120.00
loop_
_atom_site_label
_atom_site_type_symbol
_atom_site_fract_x
_atom_site_fract_y
_atom_site_fract_z
La1 La 0.3333 0.6667 0.0000
Nd1 Nd 0.0000 0.3269 0.2500
Er1 Er 0.0000 0.0000 0.0000
```

The 10 most intense peaks (2θ = 10–80°), in order of falling intensity:
h k l, d (Å), 2θ (°), intensity
1 1 2, 2.815, 31.8, 100
1 1 1, 3.087, 28.9, 42
0 0 4, 2.968, 30.1, 34
3 0 4, 1.568, 58.9, 30
3 0 0, 1.846, 49.4, 26
1 1 3, 2.487, 36.1, 23
1 1 6, 1.683, 54.5, 22
2 2 2, 1.544, 59.9, 16
1 1 5, 1.906, 47.7, 11
0 0 8, 1.483, 62.6, 9

=====

# La6Nd4Er
Simulated PXRD pattern, a wavelength of 1.5418 Å. Input: a crystal structure in Alexandria, relaxed with GGA-PBE.
Intensities are scaled so that the largest is 100.

Structural model:
```
data_La6Nd4Er
_chemical_formula_sum 'La24 Nd16 Er4'
_symmetry_space_group_name_H-M 'C m c m'
_symmetry_Int_Tables_number 63
_symmetry_space_group_name_Hall '-C 2c 2'
_cell_length_a 6.043
_cell_length_b 9.909
_cell_length_c 26.321
_cell_angle_alpha 90.00
_cell_angle_beta 90.00
_cell_angle_gamma 90.00
loop_
_atom_site_label
_atom_site_type_symbol
_atom_site_fract_x
_atom_site_fract_y
_atom_site_fract_z
La1 La 0.000 0.000 0.000
La2 La 0.000 0.060 0.250
La3 La 0.000 0.293 0.604
La4 La 0.000 0.385 0.184
Nd1 Nd 0.000 0.055 0.124
Nd2 Nd 0.000 0.352 0.045
Er1 Er 0.000 0.282 0.750
```

The 10 most intense peaks (2θ = 10–80°), in order of falling intensity:
h k l, d (Å), 2θ (°), intensity
2 0 0, 3.021, 29.6, 100
1 3 1, 2.881, 31.0, 88
1 3 0, 2.898, 30.9, 82
1 1 7, 3.039, 29.4, 79
1 1 8, 2.774, 32.3, 79
0 2 7, 2.995, 29.8, 72
2 2 7, 2.127, 42.5, 55
0 0 8, 3.286, 27.1, 24
3 3 1, 1.716, 53.4, 19
3 1 8, 1.693, 54.2, 18

=====

# La3NdEr7
Simulated PXRD pattern, a wavelength of 1.5418 Å. Input: a crystal structure in Alexandria, relaxed with GGA-PBE.
Intensities are scaled so that the largest is 100.

Structural model:
```
data_La3NdEr7
_chemical_formula_sum 'La3 Nd1 Er7'
_symmetry_space_group_name_H-M 'P -1'
_symmetry_Int_Tables_number 2
_symmetry_space_group_name_Hall '-P 1'
_cell_length_a 6.561
_cell_length_b 6.704
_cell_length_c 8.653
_cell_angle_alpha 99.55
_cell_angle_beta 98.52
_cell_angle_gamma 95.02
loop_
_atom_site_label
_atom_site_type_symbol
_atom_site_fract_x
_atom_site_fract_y
_atom_site_fract_z
La1 La 0.000 0.000 0.000
La2 La 0.199 0.560 0.161
Nd1 Nd 0.500 0.000 0.500
Er1 Er 0.013 0.767 0.581
Er2 Er 0.279 0.277 0.786
Er3 Er 0.440 0.794 0.854
Er4 Er 0.500 0.500 0.500
```

The 10 most intense peaks (2θ = 10–80°), in order of falling intensity:
h k l, d (Å), 2θ (°), intensity
1 2 -1, 2.855, 31.3, 100
-1 2 1, 2.805, 31.9, 95
2 0 -2, 2.791, 32.1, 92
1 1 2, 2.726, 32.9, 39
0 1 -3, 2.768, 32.3, 35
1 -2 2, 2.596, 34.5, 22
1 0 -3, 2.744, 32.6, 20
2 1 -1, 2.821, 31.7, 17
3 1 0, 1.975, 45.9, 15
-3 2 3, 1.605, 57.4, 15

=====

# La2Nd5Er5
Simulated PXRD pattern, a wavelength of 1.5418 Å. Input: a crystal structure in Alexandria, relaxed with GGA-PBE.
Intensities are scaled so that the largest is 100.

Structural model:
```
data_La2Nd5Er5
_chemical_formula_sum 'La4 Nd10 Er10'
_symmetry_space_group_name_H-M 'C 1 2/m 1'
_symmetry_Int_Tables_number 12
_symmetry_space_group_name_Hall '-C 2y'
_cell_length_a 15.429
_cell_length_b 5.094
_cell_length_c 11.486
_cell_angle_alpha 90.00
_cell_angle_beta 116.73
_cell_angle_gamma 90.00
loop_
_atom_site_label
_atom_site_type_symbol
_atom_site_fract_x
_atom_site_fract_y
_atom_site_fract_z
La1 La 0.082 0.000 0.251
Nd1 Nd 0.000 0.000 0.500
Nd2 Nd 0.166 0.000 0.000
Nd3 Nd 0.247 0.000 0.747
Er1 Er 0.000 0.500 0.000
Er2 Er 0.084 0.500 0.749
Er3 Er 0.167 0.500 0.501
```

The 10 most intense peaks (2θ = 10–80°), in order of falling intensity:
h k l, d (Å), 2θ (°), intensity
3 1 1, 2.957, 30.2, 100
0 0 4, 2.568, 34.9, 34
0 2 4, 1.808, 50.5, 24
0 2 0, 2.547, 35.2, 17
9 1 -1, 1.549, 59.7, 14
3 1 5, 1.546, 59.8, 14
3 3 -3, 1.538, 60.1, 7
3 3 1, 1.538, 60.2, 7
6 2 -6, 1.480, 62.8, 6
6 2 2, 1.477, 62.9, 6

=====

# La12NdEr7
Simulated PXRD pattern, a wavelength of 1.5418 Å. Input: a crystal structure in Alexandria, relaxed with GGA-PBE.
Intensities are scaled so that the largest is 100.

Structural model:
```
data_La12NdEr7
_chemical_formula_sum 'La36 Nd3 Er21'
_symmetry_space_group_name_H-M 'R -3 m'
_symmetry_Int_Tables_number 166
_symmetry_space_group_name_Hall '-R 3 2"'
_cell_length_a 19.5731
_cell_length_b 19.5731
_cell_length_c 6.3669
_cell_angle_alpha 90.00
_cell_angle_beta 90.00
_cell_angle_gamma 120.00
loop_
_atom_site_label
_atom_site_type_symbol
_atom_site_fract_x
_atom_site_fract_y
_atom_site_fract_z
La1 La 0.0000 0.4077 0.0000
La2 La 0.0964 0.5482 0.4792
Nd1 Nd 0.0000 0.0000 0.5000
Er1 Er 0.0000 0.0000 0.0000
Er2 Er 0.0827 0.1654 0.3022
```

The 10 most intense peaks (2θ = 10–80°), in order of falling intensity:
h k l, d (Å), 2θ (°), intensity
0 5 1, 2.992, 29.9, 100
3 3 0, 3.262, 27.3, 50
2 0 2, 2.980, 30.0, 48
5 2 0, 2.714, 33.0, 42
5 1 1, 2.747, 32.6, 38
5 0 2, 2.321, 38.8, 38
3 1 2, 2.636, 34.0, 34
0 7 2, 1.927, 47.2, 28
7 0 1, 2.263, 39.8, 28
5 5 0, 1.957, 46.4, 26

=====

# LaNd2Er5
Simulated PXRD pattern, a wavelength of 1.5418 Å. Input: a crystal structure in Alexandria, relaxed with GGA-PBE.
Intensities are scaled so that the largest is 100.

Structural model:
```
data_LaNd2Er5
_chemical_formula_sum 'La2 Nd4 Er10'
_symmetry_space_group_name_H-M 'P b a m'
_symmetry_Int_Tables_number 55
_symmetry_space_group_name_Hall '-P 2 2ab'
_cell_length_a 7.152
_cell_length_b 14.328
_cell_length_c 5.074
_cell_angle_alpha 90.00
_cell_angle_beta 90.00
_cell_angle_gamma 90.00
loop_
_atom_site_label
_atom_site_type_symbol
_atom_site_fract_x
_atom_site_fract_y
_atom_site_fract_z
La1 La 0.000 0.000 0.000
Nd1 Nd 0.245 0.373 0.500
Er1 Er 0.000 0.500 0.000
Er2 Er 0.005 0.748 0.000
Er3 Er 0.247 0.126 0.500
```

The 9 most intense peaks (2θ = 10–80°), in order of falling intensity:
h k l, d (Å), 2θ (°), intensity
2 0 1, 2.925, 30.6, 100
0 0 2, 2.533, 35.4, 51
2 4 2, 1.792, 51.0, 30
2 0 3, 1.528, 60.6, 29
4 4 1, 1.526, 60.7, 14
0 8 2, 1.462, 63.6, 12
4 0 0, 1.788, 51.1, 6
4 8 0, 1.265, 75.1, 4
0 0 4, 1.268, 74.9, 2

=====

# La4Nd5Er3
Simulated PXRD pattern, a wavelength of 1.5418 Å. Input: a crystal structure in Alexandria, relaxed with GGA-PBE.
Intensities are scaled so that the largest is 100.

Structural model:
```
data_La4Nd5Er3
_chemical_formula_sum 'La8 Nd10 Er6'
_symmetry_space_group_name_H-M 'C 1 2/m 1'
_symmetry_Int_Tables_number 12
_symmetry_space_group_name_Hall '-C 2y'
_cell_length_a 16.572
_cell_length_b 6.053
_cell_length_c 9.539
_cell_angle_alpha 90.00
_cell_angle_beta 117.00
_cell_angle_gamma 90.00
loop_
_atom_site_label
_atom_site_type_symbol
_atom_site_fract_x
_atom_site_fract_y
_atom_site_fract_z
La1 La 0.084 0.000 0.442
La2 La 0.219 0.000 0.877
Nd1 Nd 0.000 0.000 0.000
Nd2 Nd 0.074 0.500 0.705
Nd3 Nd 0.171 0.500 0.388
Er1 Er 0.000 0.500 0.000
Er2 Er 0.210 0.000 0.228
```

The 10 most intense peaks (2θ = 10–80°), in order of falling intensity:
h k l, d (Å), 2θ (°), intensity
0 2 0, 3.027, 29.5, 100
5 1 -2, 2.829, 31.6, 84
1 1 -3, 2.724, 32.9, 62
5 1 -1, 2.891, 30.9, 44
4 0 1, 2.934, 30.5, 43
4 2 1, 2.107, 42.9, 35
2 0 -3, 3.170, 28.2, 32
3 1 1, 3.099, 28.8, 31
3 1 -3, 2.795, 32.0, 29
2 0 2, 3.121, 28.6, 25

=====

# La2Pm2NdEr
Simulated PXRD pattern, a wavelength of 1.5418 Å. Input: a crystal structure in Alexandria, relaxed with GGA-PBE.
Intensities are scaled so that the largest is 100.

Structural model:
```
data_La2Pm2NdEr
_chemical_formula_sum 'La4 Pm4 Nd2 Er2'
_symmetry_space_group_name_H-M 'P m m a'
_symmetry_Int_Tables_number 51
_symmetry_space_group_name_Hall '-P 2a 2a'
_cell_length_a 7.155
_cell_length_b 5.794
_cell_length_c 10.009
_cell_angle_alpha 90.00
_cell_angle_beta 90.00
_cell_angle_gamma 90.00
loop_
_atom_site_label
_atom_site_type_symbol
_atom_site_fract_x
_atom_site_fract_y
_atom_site_fract_z
La1 La 0.000 0.000 0.000
La2 La 0.250 0.500 0.177
Pm1 Pm 0.250 0.000 0.333
Pm2 Pm 0.250 0.500 0.835
Nd1 Nd 0.250 0.000 0.659
Er1 Er 0.000 0.500 0.500
```

The 10 most intense peaks (2θ = 10–80°), in order of falling intensity:
h k l, d (Å), 2θ (°), intensity
0 2 0, 2.893, 30.9, 100
2 1 1, 2.912, 30.7, 92
2 2 2, 2.052, 44.1, 34
4 2 0, 1.521, 60.9, 29
0 3 3, 1.672, 54.9, 25
2 3 1, 1.675, 54.8, 24
4 3 3, 1.221, 78.3, 14
2 4 2, 1.296, 73.0, 10
2 2 0, 2.250, 40.1, 9
4 0 0, 1.789, 51.1, 8

=====

# LaPmNd6Er2
Simulated PXRD pattern, a wavelength of 1.5418 Å. Input: a crystal structure in Alexandria, relaxed with GGA-PBE.
Intensities are scaled so that the largest is 100.

Structural model:
```
data_LaPmNd6Er2
_chemical_formula_sum 'La4 Pm4 Nd24 Er8'
_symmetry_space_group_name_H-M 'C 1 2/c 1'
_symmetry_Int_Tables_number 15
_symmetry_space_group_name_Hall '-C 2yc'
_cell_length_a 9.368
_cell_length_b 15.302
_cell_length_c 9.813
_cell_angle_alpha 90.00
_cell_angle_beta 97.80
_cell_angle_gamma 90.00
loop_
_atom_site_label
_atom_site_type_symbol
_atom_site_fract_x
_atom_site_fract_y
_atom_site_fract_z
La1 La 0.000 0.095 0.250
Pm1 Pm 0.000 0.468 0.750
Nd1 Nd 0.067 0.325 0.444
Nd2 Nd 0.096 0.108 0.620
Nd3 Nd 0.209 0.273 0.819
Er1 Er 0.244 0.452 0.048
```

The 10 most intense peaks (2θ = 10–80°), in order of falling intensity:
h k l, d (Å), 2θ (°), intensity
2 2 2, 2.910, 30.7, 100
3 1 -1, 3.011, 29.7, 59
0 2 3, 2.984, 29.9, 50
1 3 2, 3.188, 28.0, 45
2 4 -1, 2.895, 30.9, 39
1 3 -3, 2.709, 33.1, 38
1 5 -1, 2.818, 31.8, 33
2 4 0, 2.952, 30.3, 18
2 2 -3, 2.666, 33.6, 16
2 2 -2, 3.265, 27.3, 16

=====

# La2Pm2NdEr2
Simulated PXRD pattern, a wavelength of 1.5418 Å. Input: a crystal structure in Alexandria, relaxed with GGA-PBE.
Intensities are scaled so that the largest is 100.

Structural model:
```
data_La2Pm2NdEr2
_chemical_formula_sum 'La4 Pm4 Nd2 Er4'
_symmetry_space_group_name_H-M 'C 1 2/m 1'
_symmetry_Int_Tables_number 12
_symmetry_space_group_name_Hall '-C 2y'
_cell_length_a 11.508
_cell_length_b 5.139
_cell_length_c 8.184
_cell_angle_alpha 90.00
_cell_angle_beta 97.98
_cell_angle_gamma 90.00
loop_
_atom_site_label
_atom_site_type_symbol
_atom_site_fract_x
_atom_site_fract_y
_atom_site_fract_z
La1 La 0.142 0.000 0.427
Pm1 Pm 0.215 0.500 0.141
Nd1 Nd 0.000 0.000 0.000
Er1 Er 0.071 0.500 0.715
```

The 10 most intense peaks (2θ = 10–80°), in order of falling intensity:
h k l, d (Å), 2θ (°), intensity
1 1 2, 2.982, 30.0, 100
3 1 -1, 2.970, 30.1, 99
4 0 1, 2.581, 34.8, 68
4 2 1, 1.821, 50.1, 60
7 1 0, 1.551, 59.6, 43
0 2 0, 2.569, 34.9, 33
1 1 -5, 1.560, 59.2, 14
5 1 3, 1.557, 59.4, 14
5 1 -4, 1.555, 59.5, 14
2 2 4, 1.491, 62.3, 12

=====

# LaPrNd2Er4
Simulated PXRD pattern, a wavelength of 1.5418 Å. Input: a crystal structure in Alexandria, relaxed with GGA-PBE.
Intensities are scaled so that the largest is 100.

Structural model:
```
data_LaPrNd2Er4
_chemical_formula_sum 'La4 Pr4 Nd8 Er16'
_symmetry_space_group_name_H-M 'C 1 2/m 1'
_symmetry_Int_Tables_number 12
_symmetry_space_group_name_Hall '-C 2y'
_cell_length_a 12.522
_cell_length_b 7.228
_cell_length_c 12.386
_cell_angle_alpha 90.00
_cell_angle_beta 109.73
_cell_angle_gamma 90.00
loop_
_atom_site_label
_atom_site_type_symbol
_atom_site_fract_x
_atom_site_fract_y
_atom_site_fract_z
La1 La 0.250 0.250 0.000
Pr1 Pr 0.000 0.000 0.000
Pr2 Pr 0.000 0.000 0.500
Nd1 Nd 0.000 0.500 0.000
Nd2 Nd 0.000 0.500 0.500
Nd3 Nd 0.250 0.250 0.500
Er1 Er 0.001 0.250 0.251
Er2 Er 0.250 0.000 0.252
Er3 Er 0.250 0.000 0.749
```

The 10 most intense peaks (2θ = 10–80°), in order of falling intensity:
h k l, d (Å), 2θ (°), intensity
4 0 0, 2.947, 30.3, 100
2 2 2, 2.545, 35.3, 67
0 0 4, 2.915, 30.7, 32
6 2 2, 1.536, 60.3, 29
0 4 0, 1.807, 50.5, 24
4 0 4, 1.792, 51.0, 24
4 4 0, 1.541, 60.1, 14
2 2 6, 1.527, 60.7, 14
8 0 0, 1.473, 63.1, 12
4 4 4, 1.273, 74.6, 8

=====

# La2Pr4Nd2Er
Simulated PXRD pattern, a wavelength of 1.5418 Å. Input: a crystal structure in Alexandria, relaxed with GGA-PBE.
Intensities are scaled so that the largest is 100.

Structural model:
```
data_La2Pr4Nd2Er
_chemical_formula_sum 'La4 Pr8 Nd4 Er2'
_symmetry_space_group_name_H-M 'C 1 2/m 1'
_symmetry_Int_Tables_number 12
_symmetry_space_group_name_Hall '-C 2y'
_cell_length_a 19.292
_cell_length_b 3.725
_cell_length_c 9.910
_cell_angle_alpha 90.00
_cell_angle_beta 115.48
_cell_angle_gamma 90.00
loop_
_atom_site_label
_atom_site_type_symbol
_atom_site_fract_x
_atom_site_fract_y
_atom_site_fract_z
La1 La 0.165 0.000 0.000
Pr1 Pr 0.018 0.000 0.329
Pr2 Pr 0.185 0.500 0.333
Nd1 Nd 0.148 0.500 0.668
Er1 Er 0.000 0.500 0.000
```

The 10 most intense peaks (2θ = 10–80°), in order of falling intensity:
h k l, d (Å), 2θ (°), intensity
3 1 -2, 2.903, 30.8, 100
3 1 1, 2.765, 32.4, 57
0 0 3, 2.982, 30.0, 49
6 0 -1, 3.198, 27.9, 36
6 0 -3, 2.755, 32.5, 27
9 1 -2, 1.858, 49.0, 25
3 1 -5, 1.738, 52.7, 23
0 2 3, 1.580, 58.4, 15
9 1 1, 1.579, 58.5, 15
9 1 -5, 1.575, 58.6, 15